The following is a calculated X-ray diffraction stick pattern of LiSm3Rh3. It was derived from the PBE geometry in Alexandria, using Cu Ka.
Kinematic intensities with the Lorentz-polarization factor, no thermal factor.

Principal peaks in the range 15° ≤ 2θ ≤ 90°, low angle first:
d (Å), I/Imax
3.340, 59
2.945, 36
2.648, 45
2.572, 60
2.564, 32
2.328, 41
2.302, 100
2.042, 36
1.748, 22
1.535, 22

Structure:
```
data_LiSm3Rh3
_cell_length_a 4.083
_cell_length_b 10.435
_cell_length_c 13.970
_cell_angle_alpha 90.00
_cell_angle_beta 90.00
_cell_angle_gamma 90.00
_symmetry_space_group_name_H-M 'C m c m'
_symmetry_Int_Tables_number 63
_symmetry_space_group_name_Hall '-C 2c 2'
loop_
_atom_site_label
_atom_site_type_symbol
_atom_site_fract_x
_atom_site_fract_y
_atom_site_fract_z
Li1 Li 0.000 0.000 0.000
Sm1 Sm 0.000 0.028 0.250
Sm2 Sm 0.000 0.304 0.103
Rh1 Rh 0.000 0.246 0.750
Rh2 Rh 0.000 0.408 0.590
```